# KHf2Mn2O7
Simulated powder XRD pattern, Cu Ka. Input: DFT lattice parameters and positions (GGA+U).

Atomic structure:
```
data_KHf2Mn2O7
_chemical_formula_sum 'K1 Hf2 Mn2 O7'
_cell_length_a 9.3560
_cell_length_b 9.3560
_cell_length_c 9.3560
_cell_angle_alpha 154.22
_cell_angle_beta 153.90
_cell_angle_gamma 37.01
_symmetry_space_group_name_H-M 'P 1'
_symmetry_Int_Tables_number 1
loop_
_symmetry_equiv_pos_as_xyz
'x,y,z'
loop_
_atom_site_label
_atom_site_fract_x
_atom_site_fract_y
_atom_site_fract_z
K1 0.0000 0.0000 0.0000
Hf1 0.3869 0.3869 0.0000
Hf2 0.6131 0.6131 0.0000
Mn1 0.2504 0.7504 0.5000
Mn2 0.7496 0.2496 0.5000
O1 0.1279 0.6279 0.5000
O2 0.2621 0.2621 0.0000
O3 0.3708 0.8708 0.5000
O4 0.5000 0.5000 0.0000
O5 0.6292 0.1292 0.5000
O6 0.7379 0.7379 0.0000
O7 0.8721 0.3721 0.5000
```

Most intense lines, 10° ≤ 2θ ≤ 90°, most intense first:
- 2θ 21.6, intensity 100
- 2θ 21.9, intensity 97
- 2θ 36.4, intensity 77
- 2θ 33.1, intensity 65
- 2θ 33.0, intensity 64
- 2θ 42.8, intensity 53
- 2θ 25.9, intensity 53
- 2θ 43.4, intensity 51